# Pu4HRh3
Calculated powder diffraction line list, Cu Kα (λ = 1.5418 Å). Input: a crystal structure in Alexandria, relaxed with GGA-PBE.
Neutral-atom scattering factors, no anomalous dispersion.

Crystal structure
a = 6.777 Å, b = 6.777 Å, c = 6.777 Å
α = 90.00°, β = 90.00°, γ = 90.00°
Space group I-43m (No. 217)
One atom of each set of equivalent atoms:
Pu 0.197 0.197 0.197
H 0.000 0.000 0.000
Rh 0.000 0.000 0.500

The 12 most intense peaks (10° ≤ 2θ ≤ 90°), in order of falling intensity:
- (2 1 1), 2θ = 32.36°, rel. 100
- (2 2 0), 2θ = 37.54°, rel. 92
- (4 1 1), 2θ = 57.71°, rel. 55
- (6 1 1), 2θ = 89.05°, rel. 24
- (2 0 0), 2θ = 26.30°, rel. 24
- (3 1 0), 2θ = 42.16°, rel. 21
- (5 3 0), 2θ = 83.10°, rel. 21
- (3 3 2), 2θ = 64.49°, rel. 20
- (4 3 1), 2θ = 70.90°, rel. 20
- (3 2 1), 2θ = 50.38°, rel. 20
- (4 2 2), 2θ = 67.73°, rel. 13
- (6 0 0), 2θ = 86.08°, rel. 11